# 1
Computed powder X-ray diffraction pattern of Rb3AsBr8 for Cu Kα X-rays, from a structure optimized by DFT (GGA-PBE).

a = 7.751 Å, b = 7.751 Å, c = 15.661 Å
α = 90.00°, β = 90.00°, γ = 90.00°
Space group I4/mmm (No. 139)
One atom of each set of equivalent atoms:
Rb (0.000, 0.000, 0.000) [2 per cell]
Rb (0.000, 0.500, 0.250) [4 per cell]
As (0.000, 0.000, 0.500) [2 per cell]
Br (0.215, 0.215, 0.392) [16 per cell]

The 8 most intense peaks (2θ = 10–90°), low angle first:
2theta  Rel. int.
12.7  14
19.8  54
32.5  100
32.7  49
38.5  16
46.9  13
57.9  11
58.2  22

# 2
Computed powder X-ray diffraction pattern of Rb2TeAsBr6 for Cu Kα X-rays, from a structure optimized by DFT (GGA-PBE).

a = 8.057 Å, b = 8.057 Å, c = 11.234 Å
α = 90.00°, β = 90.00°, γ = 90.00°
Space group I4/mmm (No. 139)
One atom of each set of equivalent atoms:
Rb (0.000, 0.500, 0.250) [4 per cell]
Te (0.000, 0.000, 0.000) [2 per cell]
As (0.000, 0.000, 0.500) [2 per cell]
Br (0.000, 0.000, 0.259) [4 per cell]
Br (0.237, 0.237, 0.500) [8 per cell]

The 8 most intense peaks (2θ = 10–90°), low angle first:
2theta  Rel. int.
15.6  29
22.2  30
27.2  84
31.4  100
31.9  49
45.0  35
45.3  70
56.2  36

# 3
Computed powder X-ray diffraction pattern of Rb2TiAsBr6 for Cu Kα X-rays, from a structure optimized by DFT (GGA-PBE).

a = 7.496 Å, b = 7.496 Å, c = 12.494 Å
α = 90.00°, β = 90.00°, γ = 90.00°
Space group I4/mmm (No. 139)
One atom of each set of equivalent atoms:
Rb (0.000, 0.500, 0.250) [4 per cell]
Ti (0.000, 0.000, 0.000) [2 per cell]
As (0.000, 0.000, 0.500) [2 per cell]
Br (0.000, 0.000, 0.207) [4 per cell]
Br (0.248, 0.248, 0.000) [8 per cell]

The 8 most intense peaks (2θ = 10–90°), low angle first:
2theta  Rel. int.
22.0  17
27.8  100
28.6  43
33.8  69
44.9  48
48.6  24
56.9  26
57.3  23

# 4
Computed powder X-ray diffraction pattern of RbTiAs2Br for Cu Kα X-rays, from a structure optimized by DFT (GGA-PBE).

a = 4.892 Å, b = 4.892 Å, c = 5.920 Å
α = 90.00°, β = 90.00°, γ = 90.00°
Space group P4/mmm (No. 123)
One atom of each set of equivalent atoms:
Rb (0.000, 0.000, 0.000) [1 per cell]
Ti (0.500, 0.500, 0.500) [1 per cell]
As (0.000, 0.500, 0.500) [2 per cell]
Br (0.500, 0.500, 0.000) [1 per cell]

The 8 most intense peaks (2θ = 10–90°), low angle first:
2theta  Rel. int.
29.9  100
30.2  44
36.7  52
48.3  46
52.9  17
53.5  19
62.0  25
62.2  21

# 5
Computed powder X-ray diffraction pattern of RbTl2AsBr6 for Cu Kα X-rays, from a structure optimized by DFT (GGA-PBE).

a = 8.1607 Å, b = 8.1607 Å, c = 20.6596 Å
α = 90.00°, β = 90.00°, γ = 120.00°
Space group R3 (No. 146, hexagonal axes)
One atom of each set of equivalent atoms:
Rb (0.0000, 0.0000, 0.0000) [3 per cell]
Tl (0.0000, 0.0000, 0.2047) [3 per cell]
Tl (0.0000, 0.0000, 0.7132) [3 per cell]
As (0.0000, 0.0000, 0.5093) [3 per cell]
Br (0.0160, 0.7450, 0.5891) [9 per cell]
Br (0.0781, 0.3786, 0.1044) [9 per cell]

The 8 most intense peaks (2θ = 10–90°), low angle first:
2theta  Rel. int.
15.2  59
21.3  87
21.8  55
25.4  72
30.7  60
34.1  100
37.9  62
38.2  65

# 6
Computed powder X-ray diffraction pattern of AsS5Br for Cu Kα X-rays, from a structure optimized by DFT (GGA-PBE).

a = 5.441 Å, b = 6.968 Å, c = 7.210 Å
α = 100.16°, β = 96.35°, γ = 112.40°
Space group P1 (No. 1)
One atom of each set of equivalent atoms:
As (0.000, 0.000, 0.000) [1 per cell]
S (0.093, 0.418, 0.336) [1 per cell]
S (0.103, 0.002, 0.698) [1 per cell]
S (0.782, 0.996, 0.515) [1 per cell]
S (0.824, 0.303, 0.512) [1 per cell]
S (0.891, 0.290, 0.056) [1 per cell]
Br (0.555, 0.718, 0.915) [1 per cell]

The 8 most intense peaks (2θ = 10–90°), low angle first:
2theta  Rel. int.
12.7  63
17.8  100
18.0  67
21.2  49
22.0  62
25.6  48
26.8  68
28.3  74

# 7
Computed powder X-ray diffraction pattern of As2SBr for Cu Kα X-rays, from a structure optimized by DFT (GGA-PBE).

a = 4.930 Å, b = 4.930 Å, c = 16.672 Å
α = 90.00°, β = 90.00°, γ = 90.00°
Space group I-42d (No. 122)
One atom of each set of equivalent atoms:
As (0.140, 0.250, 0.125) [8 per cell]
S (0.000, 0.000, 0.000) [4 per cell]
Br (0.000, 0.000, 0.500) [4 per cell]

The 8 most intense peaks (2θ = 10–90°), low angle first:
2theta  Rel. int.
24.1  35
27.7  100
32.4  17
41.3  31
41.6  32
42.6  47
43.4  19
56.9  12

# 8
Computed powder X-ray diffraction pattern of SbAs2Br2 for Cu Kα X-rays, from a structure optimized by DFT (GGA-PBE).

a = 7.364 Å, b = 7.364 Å, c = 5.321 Å
α = 90.00°, β = 90.00°, γ = 90.00°
Space group P4/mbm (No. 127)
One atom of each set of equivalent atoms:
Sb (0.000, 0.000, 0.000) [2 per cell]
As (0.122, 0.378, 0.000) [4 per cell]
Br (0.170, 0.330, 0.500) [4 per cell]

The 8 most intense peaks (2θ = 10–90°), low angle first:
2theta  Rel. int.
16.7  19
27.1  100
29.5  70
33.7  52
38.7  55
43.7  53
52.2  45
67.2  18